Theoretical powder XRD pattern of Li2Mn3FeO8 for Cu Kα X-rays, from a crystal structure in the Materials Project, relaxed with GGA+U.
Lines closer than 0.1° are merged.

Cell and atoms:
```
data_Li2Mn3FeO8
_chemical_formula_sum 'Li16 Mn24 Fe8 O64'
_cell_length_a 11.740
_cell_length_b 11.757
_cell_length_c 8.299
_cell_angle_alpha 90.00
_cell_angle_beta 90.01
_cell_angle_gamma 90.00
_space_group_name_H-M_alt 'C 1 2 1'
_space_group_IT_number 5
loop_
_space_group_symop_operation_xyz
'x,y,z'
'-x,y,-z'
'x+1/2,y+1/2,z'
'-x+1/2,y+1/2,-z'
loop_
_atom_site_label
_atom_site_fract_x
_atom_site_fract_y
_atom_site_fract_z
_atom_site_occupancy
Li1 0.120 0.000 0.380 1
Li2 0.121 0.250 0.120 1
Li3 0.125 0.505 0.370 1
Li4 0.125 0.746 0.129 1
Mn1 0.000 0.257 0.500 1
Mn2 0.000 0.994 0.000 1
Mn3 0.128 0.379 0.744 1
Mn4 0.128 0.872 0.757 1
Mn5 0.132 0.625 0.750 1
Mn6 0.247 0.254 0.493 1
Mn7 0.247 0.997 0.007 1
Fe1 0.000 0.500 0.000 1
Fe2 0.000 0.750 0.500 1
Fe3 0.125 0.125 0.750 1
O1 0.014 0.263 0.733 1
O2 0.014 0.988 0.767 1
O3 0.022 0.504 0.751 1
O4 0.022 0.746 0.749 1
O5 0.121 0.104 0.999 1
O6 0.121 0.147 0.501 1
O7 0.125 0.366 0.509 1
O8 0.125 0.884 0.991 1
O9 0.133 0.385 0.975 1
O10 0.133 0.866 0.526 1
O11 0.137 0.612 0.983 1
O12 0.137 0.639 0.517 1
O13 0.240 0.992 0.776 1
O14 0.241 0.258 0.725 1
O15 0.241 0.500 0.759 1
O16 0.241 0.750 0.741 1
```

Top 10 peaks for 2θ from 10° to 80°, in order of rising 2θ:
- 2θ 18.5, intensity 1000, hkl 2 0 1
- 2θ 35.9, intensity 462, hkl 2 0 3
- 2θ 37.5, intensity 108, hkl 4 0 2
- 2θ 43.6, intensity 534, hkl 0 0 4
- 2θ 47.7, intensity 96, hkl 4 2 3
- 2θ 57.7, intensity 194, hkl 6 4 1
- 2θ 63.3, intensity 258, hkl 4 4 4
- 2θ 63.4, intensity 51, hkl 8 0 0
- 2θ 66.6, intensity 112, hkl 4 6 3
- 2θ 76.0, intensity 54, hkl 4 8 2